Starting from a GGA-PBE-relaxed structure, the X-ray diffraction stick pattern of RbSm2Cu3S5 was calculated for Cu Kα (λ = 1.5418 Å).
Kinematic intensities with the Lorentz-polarization factor, no thermal factor.

Cell and atoms:
a = 7.2934 Å, b = 7.2934 Å, c = 16.8731 Å
α = 90.00°, β = 90.00°, γ = 148.20°
Fractional coordinates of all 22 atoms:
Rb: 0.0662 0.9338 0.7500
Rb: 0.9338 0.0662 0.2500
Sm: 0.1914 0.8086 0.0924
Sm: 0.1914 0.8086 0.4076
Sm: 0.8086 0.1914 0.5924
Sm: 0.8086 0.1914 0.9076
Cu: 0.3429 0.6571 0.7500
Cu: 0.4166 0.5834 0.0370
Cu: 0.4166 0.5834 0.4630
Cu: 0.5834 0.4166 0.5370
Cu: 0.5834 0.4166 0.9630
Cu: 0.6571 0.3429 0.2500
S: 0.1637 0.8363 0.5699
S: 0.1637 0.8363 0.9301
S: 0.2366 0.7634 0.2500
S: 0.4415 0.5585 0.6133
S: 0.4415 0.5585 0.8867
S: 0.5585 0.4415 0.1133
S: 0.5585 0.4415 0.3867
S: 0.7634 0.2366 0.7500
S: 0.8363 0.1637 0.0699
S: 0.8363 0.1637 0.4301

Top 8 peaks for 5° ≤ 2θ ≤ 70°, in order of falling intensity:
| Position (°2θ) | Rel. int. |
| --- | --- |
| 28.12 | 100 |
| 31.82 | 57 |
| 36.45 | 53 |
| 25.95 | 49 |
| 31.29 | 49 |
| 29.39 | 46 |
| 48.19 | 44 |
| 29.88 | 42 |